Li3Cr3SiO8: calculated powder diffractogram (Cu Kα X-rays), based on a GGA+U-relaxed structure.
No peak broadening, texture or thermal motion is included.

Largest 10 diffraction maxima, in order of rising 2θ, 2θ = 10–80°:
- 4.898 Å, I 100, hkl 0 0 1
- 2.481 Å, I 20, hkl 1 2 0
- 2.473 Å, I 11, hkl 2 0 -1
- 2.082 Å, I 45, hkl 1 2 1
- 2.061 Å, I 21, hkl 2 0 -2
- 1.903 Å, I 5, hkl 1 2 -2
- 1.617 Å, I 10, hkl 1 2 2
- 1.494 Å, I 6, hkl 2 0 2
- 1.478 Å, I 11, hkl 1 2 -3
- 1.452 Å, I 17, hkl 0 4 0

```
Li3Cr3SiO8
1.0
5.0311 0.0000 0.0000
0.0000 5.8037 0.0000
-1.6010 0.0000 4.8981
Li Cr Si O
3 3 1 8
Direct
0.0000 0.0000 0.0000
0.5000 0.2636 0.0000
0.5000 0.7364 0.0000
0.0000 0.2555 0.5000
0.0000 0.7445 0.5000
0.5000 0.0000 0.5000
0.5000 0.5000 0.5000
0.2329 0.0000 0.7287
0.2721 0.5000 0.7058
0.2821 0.2679 0.2922
0.2821 0.7321 0.2922
0.7179 0.2679 0.7078
0.7179 0.7321 0.7078
0.7279 0.5000 0.2942
0.7671 0.0000 0.2713
```

---

RbVH6SO9: calculated powder diffractogram (Cu Kα X-rays), based on a GGA+U-relaxed structure.
No peak broadening, texture or thermal motion is included.

Largest 10 diffraction maxima, in order of rising 2θ, 2θ = 10–80°:
- 5.436 Å, I 76, hkl 0 1 1
- 5.156 Å, I 30, hkl 1 1 0
- 5.064 Å, I 77, hkl 0 2 0
- 3.834 Å, I 32, hkl 1 0 1
- 3.586 Å, I 33, hkl 1 1 1
- 3.133 Å, I 30, hkl 1 1 -2
- 3.070 Å, I 41, hkl 0 1 2
- 2.991 Å, I 100, hkl 0 3 1
- 2.972 Å, I 75, hkl 2 1 -1
- 2.340 Å, I 32, hkl 2 2 -2

```
RbVH6SO9
1.0
6.3005 0.0000 0.0000
0.0000 10.1286 0.0000
-2.0997 0.0000 6.4430
Rb V H S O
2 2 12 2 18
Direct
0.1965 0.0000 0.1854
0.8035 0.5000 0.8146
0.1167 0.3472 0.3831
0.8833 0.8472 0.6169
0.0287 0.1098 0.6570
0.1893 0.6098 0.2629
0.2722 0.5579 0.6915
0.3098 0.4269 0.8205
0.3792 0.6991 0.0728
0.4702 0.2023 0.6956
0.5298 0.7023 0.3044
0.6208 0.1991 0.9272
0.6902 0.9269 0.1795
0.7278 0.0579 0.3085
0.8107 0.1098 0.7371
0.9713 0.6098 0.3430
0.4222 0.8463 0.7328
0.5778 0.3463 0.2672
0.0386 0.2880 0.1453
0.0634 0.5536 0.2804
0.1775 0.2124 0.5367
0.1895 0.8799 0.5915
0.2151 0.4668 0.6898
0.3727 0.7090 0.2146
0.4343 0.3895 0.3991
0.4413 0.7032 0.7731
0.4767 0.9237 0.9241
0.5233 0.4237 0.0759
0.5587 0.2032 0.2269
0.5657 0.8895 0.6009
0.6273 0.2090 0.7854
0.7849 0.9668 0.3102
0.8105 0.3799 0.4085
0.8225 0.7124 0.4633
0.9366 0.0536 0.7196
0.9614 0.7880 0.8547
```

---

Li7Mn5O12: calculated powder diffractogram (Cu Kα X-rays), based on a GGA+U-relaxed structure.
No peak broadening, texture or thermal motion is included.

Largest 10 diffraction maxima, in order of rising 2θ, 2θ = 10–80°:
- 4.849 Å, I 100, hkl 0 0 2
- 2.612 Å, I 16, hkl 2 -1 0
- 2.479 Å, I 12, hkl 0 3 0
- 2.470 Å, I 11, hkl 2 2 2
- 2.186 Å, I 34, hkl -2 1 2
- 2.055 Å, I 28, hkl 0 3 -2
- 2.043 Å, I 28, hkl 2 2 4
- 1.499 Å, I 8, hkl 2 -4 0
- 1.496 Å, I 16, hkl 4 1 2
- 1.490 Å, I 8, hkl 0 3 6

```
Li7Mn5O12
1.0
5.9958 0.0000 0.0000
1.1193 7.5761 0.0000
2.4453 1.8764 9.6972
Li Mn O
14 10 24
Direct
0.0000 0.0000 0.0000
0.9998 0.0002 0.5000
0.1547 0.3439 0.0042
0.1684 0.3380 0.4988
0.3361 0.6597 0.0065
0.3381 0.6615 0.5080
0.4950 0.4982 0.2531
0.4987 0.0006 0.5004
0.4998 0.0002 0.0002
0.5047 0.5022 0.7470
0.6621 0.3388 0.4919
0.6642 0.3406 0.9936
0.8323 0.6623 0.5011
0.8464 0.6560 0.9956
0.0002 0.4992 0.7511
0.9996 0.5009 0.2490
0.1761 0.8259 0.7497
0.1773 0.8308 0.2483
0.3288 0.1703 0.7516
0.3320 0.1700 0.2532
0.6679 0.8304 0.7469
0.6711 0.8300 0.2484
0.8227 0.1695 0.7517
0.8241 0.1740 0.2502
0.0212 0.7339 0.6337
0.0215 0.7388 0.1319
0.1382 0.0829 0.6470
0.1569 0.5945 0.3620
0.1596 0.5851 0.8657
0.1803 0.0713 0.1356
0.2993 0.4117 0.6437
0.2991 0.4128 0.1418
0.3186 0.9196 0.3679
0.3201 0.9239 0.8655
0.4776 0.7619 0.1424
0.4851 0.2395 0.3745
0.5149 0.7610 0.6256
0.5221 0.2384 0.8577
0.6798 0.0763 0.1345
0.6814 0.0809 0.6321
0.7009 0.5875 0.8583
0.7006 0.5886 0.3563
0.8199 0.9291 0.8643
0.8406 0.4150 0.1342
0.8429 0.4058 0.6381
0.8621 0.9172 0.3528
0.9784 0.2613 0.8681
0.9789 0.2662 0.3663
```